CaMg14Zr: computed powder XRD pattern (λ = 1.5418 Å (Cu Kα)), based on a cell relaxed with PBE.
Lines closer than 0.1° are merged.

Largest 10 diffraction maxima, in order of falling intensity, 2θ from 15° to 90°:
Position (°2θ)	d [Å]	Rel. int.
36.11	2.487	100
36.44	2.465	45
34.74	2.582	36
31.52	2.838	24
63.17	1.472	19
68.15	1.376	18
56.60	1.626	17
47.61	1.910	14
31.90	2.806	14
68.58	1.368	13

Atomic structure:
```
CaMg14Zr
1.0
10.330 0.000 0.000
0.000 3.290 5.611
0.000 -3.290 5.611
Ca Mg Zr
1 14 1
Direct
0.000 0.000 0.000
0.000 0.504 0.999
0.000 0.999 0.504
0.246 0.665 0.665
0.255 0.175 0.660
0.255 0.660 0.175
0.256 0.172 0.172
0.500 0.001 0.001
0.500 0.501 0.501
0.500 0.501 0.999
0.500 0.999 0.501
0.744 0.172 0.172
0.745 0.175 0.660
0.745 0.660 0.175
0.754 0.665 0.665
0.000 0.492 0.492
```